No. 1
# TlAg5
Theoretical XRD peak list, copper Kα. Input: a DFT-relaxed cell (GGA-PBE, OQMD).
Intensities are scaled so that the largest is 100.

Most intense lines, 2θ = 10–90°, low angle first:
(hkl), 2θ/deg, intensity
2 0 0, 30.74, 15.7
0 1 4, 32.02, 34.0
0 2 3, 34.39, 100.0
0 1 5, 39.02, 19.2
2 1 3, 40.31, 14.2
0 3 1, 40.74, 17.7
2 2 0, 40.95, 17.0
2 2 1, 41.63, 21.5
0 3 2, 42.77, 13.9
2 0 4, 42.83, 20.6
2 1 4, 44.98, 33.9
2 3 6, 70.04, 12.7

Structural model:
```
data_TlAg5
_chemical_formula_sum 'Tl4 Ag20'
_space_group_name_H-M_alt 'P m c 21'
_space_group_IT_number 26
_cell_length_a 5.8172
_cell_length_b 6.7557
_cell_length_c 12.2797
_cell_angle_alpha 90.00
_cell_angle_beta 90.00
_cell_angle_gamma 90.00
loop_
_space_group_symop_operation_xyz
'x,y,z'
'-x,-y,z+1/2'
'-x,y,z'
'x,-y,z+1/2'
loop_
_atom_site_label
_atom_site_type_symbol
_atom_site_fract_x
_atom_site_fract_y
_atom_site_fract_z
Tl1 Tl 0.0000 0.0930 0.0000
Tl2 Tl 0.5000 0.1427 0.7118
Ag1 Ag 0.0000 0.1454 0.7169
Ag2 Ag 0.0000 0.4265 0.1538
Ag3 Ag 0.0000 0.4522 0.8771
Ag4 Ag 0.2474 0.1935 0.3040
Ag5 Ag 0.2505 0.3033 0.5269
Ag6 Ag 0.5000 0.0580 0.9616
Ag7 Ag 0.5000 0.3666 0.1238
Ag8 Ag 0.5000 0.4544 0.8750
```

---

No. 2
# Ag3Te3N2
Theoretical XRD peak list, copper Kα. Input: a DFT-relaxed cell (GGA-PBE, OQMD).
Intensities are scaled so that the largest is 100.

Most intense lines, 2θ = 10–90°, low angle first:
(hkl), 2θ/deg, intensity
0 0 2, 14.13, 33.5
0 0 4, 28.49, 80.9
1 1 0, 31.02, 91.3
1 1 -1, 31.42, 100.0
0 0 5, 35.82, 21.2
1 1 3, 39.03, 27.2
1 1 -4, 41.24, 20.1
1 1 4, 43.96, 47.2
2 0 -1, 44.03, 31.1
0 2 0, 44.82, 26.8
1 1 -5, 46.54, 43.1
0 2 4, 53.97, 25.7

Structural model:
```
data_Ag3Te3N2
_chemical_formula_sum 'Ag3 Te3 N2'
_space_group_name_H-M_alt 'P 1 2/m 1'
_space_group_IT_number 10
_cell_length_a 4.1256
_cell_length_b 4.0441
_cell_length_c 12.5808
_cell_angle_alpha 90.00
_cell_angle_beta 95.00
_cell_angle_gamma 90.00
loop_
_space_group_symop_operation_xyz
'x,y,z'
'-x,-y,-z'
'-x,y,-z'
'x,-y,z'
loop_
_atom_site_label
_atom_site_type_symbol
_atom_site_fract_x
_atom_site_fract_y
_atom_site_fract_z
Ag1 Ag 0.0000 0.0000 0.0000
Ag2 Ag 0.3806 0.5000 0.7627
Te1 Te 0.1111 0.0000 0.2254
Te2 Te 0.5000 0.5000 0.0000
N1 N 0.3778 0.0000 0.5159
```

---

No. 3
# Pr2Sc2CICl4
Theoretical XRD peak list, copper Kα. Input: a DFT-relaxed cell (GGA-PBE, OQMD).
Intensities are scaled so that the largest is 100.

Most intense lines, 2θ = 10–90°, low angle first:
(hkl), 2θ/deg, intensity
0 0 1, 11.39, 26.1
2 0 1, 17.64, 32.8
4 0 -1, 21.43, 31.6
3 1 -1, 29.31, 28.4
6 0 0, 32.46, 31.2
1 1 -2, 32.60, 100.0
4 0 -3, 35.62, 22.7
2 0 3, 39.15, 12.5
7 1 -2, 46.03, 17.9
5 1 2, 47.27, 20.6
0 2 0, 48.48, 12.3
6 2 0, 59.55, 11.0

Structural model:
```
data_Pr2Sc2CICl4
_chemical_formula_sum 'Pr4 Sc4 C2 I2 Cl8'
_space_group_name_H-M_alt 'C 1 2/m 1'
_space_group_IT_number 12
_cell_length_a 17.1913
_cell_length_b 3.7554
_cell_length_c 8.0703
_cell_angle_alpha 90.00
_cell_angle_beta 105.68
_cell_angle_gamma 90.00
loop_
_space_group_symop_operation_xyz
'x,y,z'
'-x,-y,-z'
'-x,y,-z'
'x,-y,z'
'x+1/2,y+1/2,z'
'-x+1/2,-y+1/2,-z'
'-x+1/2,y+1/2,-z'
'x+1/2,-y+1/2,z'
loop_
_atom_site_label
_atom_site_type_symbol
_atom_site_fract_x
_atom_site_fract_y
_atom_site_fract_z
Pr1 Pr 0.1500 0.0000 0.0869
Sc1 Sc 0.0005 0.5000 0.1854
C1 C 0.0000 0.0000 0.0000
I1 I 0.0000 0.0000 0.5000
Cl1 Cl 0.1550 0.5000 0.3483
Cl2 Cl 0.1602 0.5000 0.8250
```

---

No. 4
# Tm4B7
Theoretical XRD peak list, copper Kα. Input: a DFT-relaxed cell (GGA-PBE, OQMD).
Intensities are scaled so that the largest is 100.

Most intense lines, 2θ = 10–90°, low angle first:
(hkl), 2θ/deg, intensity
0 1 1, 24.88, 53.6
0 1 -1, 25.66, 71.9
1 0 -1, 26.37, 55.1
1 0 -2, 30.37, 48.6
0 0 4, 30.96, 95.7
1 0 3, 31.70, 100.0
0 1 3, 32.67, 96.2
1 1 0, 34.25, 93.2
0 1 -3, 34.48, 63.8
1 -1 0, 34.63, 97.2
1 0 -3, 35.74, 37.4
2 0 1, 49.46, 40.9

Structural model:
```
data_Tm4B7
_chemical_formula_sum 'Tm4 B7'
_space_group_name_H-M_alt 'P -1'
_space_group_IT_number 2
_cell_length_a 3.6877
_cell_length_b 3.7059
_cell_length_c 11.6506
_cell_angle_alpha 86.91
_cell_angle_beta 83.30
_cell_angle_gamma 89.07
loop_
_space_group_symop_operation_xyz
'x,y,z'
'-x,-y,-z'
loop_
_atom_site_label
_atom_site_type_symbol
_atom_site_fract_x
_atom_site_fract_y
_atom_site_fract_z
Tm1 Tm 0.0583 0.0240 0.3456
Tm2 Tm 0.3830 0.4508 0.8626
B1 B 0.0000 0.0000 0.0000
B2 B 0.1131 0.0567 0.1248
B3 B 0.4524 0.4802 0.6274
B4 B 0.4995 0.2523 0.4997
```

---

No. 5
# FeSn6
Theoretical XRD peak list, copper Kα. Input: a DFT-relaxed cell (GGA-PBE, OQMD).
Intensities are scaled so that the largest is 100.

Most intense lines, 2θ = 10–90°, low angle first:
(hkl), 2θ/deg, intensity
1 1 3, 29.29, 37.9
0 2 2, 30.27, 46.1
3 1 0, 32.36, 19.7
3 1 1, 33.39, 77.9
0 2 3, 35.50, 23.3
3 1 2, 36.36, 100.0
1 1 4, 36.59, 30.3
2 0 4, 38.42, 37.5
1 3 0, 39.86, 30.8
3 3 4, 60.47, 26.2
0 4 4, 62.99, 23.5
3 1 7, 68.90, 15.7

Structural model:
```
data_FeSn6
_chemical_formula_sum 'Fe4 Sn24'
_space_group_name_H-M_alt 'C m c m'
_space_group_IT_number 63
_space_group_name_Hall '-C 2c 2'
_cell_length_a 9.0343
_cell_length_b 7.0086
_cell_length_c 10.9608
_cell_angle_alpha 90.00
_cell_angle_beta 90.00
_cell_angle_gamma 90.00
loop_
_atom_site_label
_atom_site_type_symbol
_atom_site_fract_x
_atom_site_fract_y
_atom_site_fract_z
Fe1 Fe 0.0000 0.0306 0.2500
Sn1 Sn 0.0000 0.3603 0.1113
Sn2 Sn 0.1764 0.0000 0.0000
Sn3 Sn 0.1861 0.2895 0.7500
```

---

No. 6
# Re9Ni4
Theoretical XRD peak list, copper Kα. Input: a DFT-relaxed cell (GGA-PBE, OQMD).
Intensities are scaled so that the largest is 100.

Most intense lines, 2θ = 10–90°, low angle first:
(hkl), 2θ/deg, intensity
0 0 6, 20.32, 18.2
1 0 1, 20.60, 48.1
1 0 10, 40.10, 15.3
0 0 12, 41.31, 100.0
0 2 1, 41.47, 22.5
0 1 11, 43.22, 25.9
0 2 4, 43.66, 18.2
2 0 5, 44.94, 56.6
0 2 7, 48.21, 35.2
0 3 6, 67.81, 17.0
2 2 0, 75.33, 33.3
2 2 12, 89.75, 22.3

Structural model:
```
data_Re9Ni4
_chemical_formula_sum 'Re27 Ni12'
_space_group_name_H-M_alt 'R -3 m'
_space_group_IT_number 166
_space_group_name_Hall '-R 3 2"'
_cell_length_a 5.0462
_cell_length_b 5.0462
_cell_length_c 26.2272
_cell_angle_alpha 90.00
_cell_angle_beta 90.00
_cell_angle_gamma 120.00
loop_
_atom_site_label
_atom_site_type_symbol
_atom_site_fract_x
_atom_site_fract_y
_atom_site_fract_z
Re1 Re 0.0000 0.0000 0.0000
Re2 Re 0.0000 0.0000 0.1632
Re3 Re 0.0080 0.5040 0.4125
Ni1 Ni 0.0000 0.0000 0.3554
Ni2 Ni 0.0000 0.0000 0.4523
```

---

No. 7
# Na2Ir
Theoretical XRD peak list, copper Kα. Input: a DFT-relaxed cell (GGA-PBE, OQMD).
Intensities are scaled so that the largest is 100.

Most intense lines, 2θ = 10–90°, low angle first:
(hkl), 2θ/deg, intensity
1 1 1, 20.77, 76.1
2 2 0, 34.24, 100.0
3 1 1, 40.39, 89.3
2 2 2, 42.27, 2.5
4 0 0, 49.20, 10.3
3 3 1, 53.96, 19.1
4 2 2, 61.31, 38.1
5 1 1, 65.48, 28.4
4 4 0, 72.14, 17.8
5 3 1, 76.01, 14.6
6 2 0, 82.33, 16.9
5 3 3, 86.08, 10.1

Structural model:
Unit cell a=7.4070 b=7.4070 c=7.4070 alpha=90.00 beta=90.00 gamma=90.00
Space group Fd-3m (No. 227, origin choice 2)
Inequivalent atoms, fractional coordinates:
Na 0.0000 0.0000 0.0000 x16
Ir 0.1250 0.1250 0.6250 x8

---

No. 8
# BiPt18
Theoretical XRD peak list, copper Kα. Input: a DFT-relaxed cell (GGA-PBE, OQMD).
Intensities are scaled so that the largest is 100.

Most intense lines, 2θ = 10–90°, low angle first:
(hkl), 2θ/deg, intensity
0 1 13, 38.31, 100.0
0 1 14, 39.40, 47.7
2 0 13, 39.51, 91.6
2 0 14, 40.57, 46.0
2 1 0, 45.12, 93.9
0 0 26, 45.50, 17.6
0 0 27, 47.36, 26.8
2 1 26, 66.01, 22.8
2 1 27, 67.47, 38.4
2 2 13, 77.91, 26.1
4 1 13, 80.22, 24.3
2 0 40, 82.04, 20.0

Structural model:
```
data_BiPt18
_chemical_formula_sum 'Bi2 Pt36'
_space_group_name_H-M_alt 'P 1 21/m 1'
_space_group_IT_number 11
_cell_length_a 5.5613
_cell_length_b 2.9084
_cell_length_c 51.8289
_cell_angle_alpha 90.00
_cell_angle_beta 90.00
_cell_angle_gamma 90.00
loop_
_space_group_symop_operation_xyz
'x,y,z'
'-x,-y,-z'
'-x,y+1/2,-z'
'x,-y+1/2,z'
loop_
_atom_site_label
_atom_site_type_symbol
_atom_site_fract_x
_atom_site_fract_y
_atom_site_fract_z
Bi1 Bi 0.1251 0.2500 0.3572
Pt1 Pt 0.1242 0.2500 0.7565
Pt2 Pt 0.1250 0.2500 0.0561
Pt3 Pt 0.1250 0.2500 0.1311
Pt4 Pt 0.1250 0.2500 0.2059
Pt5 Pt 0.1248 0.2500 0.2810
Pt6 Pt 0.1252 0.2500 0.8313
Pt7 Pt 0.1252 0.2500 0.9064
Pt8 Pt 0.1251 0.2500 0.9813
Pt9 Pt 0.1336 0.2500 0.6804
Pt10 Pt 0.3741 0.7500 0.2435
Pt11 Pt 0.3750 0.7500 0.0187
Pt12 Pt 0.3752 0.7500 0.0936
Pt13 Pt 0.3752 0.7500 0.1687
Pt14 Pt 0.3751 0.7500 0.7186
Pt15 Pt 0.3750 0.7500 0.7936
Pt16 Pt 0.3750 0.7500 0.8688
Pt17 Pt 0.3751 0.7500 0.9439
Pt18 Pt 0.3834 0.7500 0.3196
```

---

What did the first record say?
# TlAg5
Theoretical XRD peak list, copper Kα. Input: a DFT-relaxed cell (GGA-PBE, OQMD).
Intensities are scaled so that the largest is 100.

Most intense lines, 2θ = 10–90°, low angle first:
(hkl), 2θ/deg, intensity
2 0 0, 30.74, 15.7
0 1 4, 32.02, 34.0
0 2 3, 34.39, 100.0
0 1 5, 39.02, 19.2
2 1 3, 40.31, 14.2
0 3 1, 40.74, 17.7
2 2 0, 40.95, 17.0
2 2 1, 41.63, 21.5
0 3 2, 42.77, 13.9
2 0 4, 42.83, 20.6
2 1 4, 44.98, 33.9
2 3 6, 70.04, 12.7

Structural model:
```
data_TlAg5
_chemical_formula_sum 'Tl4 Ag20'
_space_group_name_H-M_alt 'P m c 21'
_space_group_IT_number 26
_cell_length_a 5.8172
_cell_length_b 6.7557
_cell_length_c 12.2797
_cell_angle_alpha 90.00
_cell_angle_beta 90.00
_cell_angle_gamma 90.00
loop_
_space_group_symop_operation_xyz
'x,y,z'
'-x,-y,z+1/2'
'-x,y,z'
'x,-y,z+1/2'
loop_
_atom_site_label
_atom_site_type_symbol
_atom_site_fract_x
_atom_site_fract_y
_atom_site_fract_z
Tl1 Tl 0.0000 0.0930 0.0000
Tl2 Tl 0.5000 0.1427 0.7118
Ag1 Ag 0.0000 0.1454 0.7169
Ag2 Ag 0.0000 0.4265 0.1538
Ag3 Ag 0.0000 0.4522 0.8771
Ag4 Ag 0.2474 0.1935 0.3040
Ag5 Ag 0.2505 0.3033 0.5269
Ag6 Ag 0.5000 0.0580 0.9616
Ag7 Ag 0.5000 0.3666 0.1238
Ag8 Ag 0.5000 0.4544 0.8750
```

---

Please write out number 2 again, unchanged.
# Ag3Te3N2
Theoretical XRD peak list, copper Kα. Input: a DFT-relaxed cell (GGA-PBE, OQMD).
Intensities are scaled so that the largest is 100.

Most intense lines, 2θ = 10–90°, low angle first:
(hkl), 2θ/deg, intensity
0 0 2, 14.13, 33.5
0 0 4, 28.49, 80.9
1 1 0, 31.02, 91.3
1 1 -1, 31.42, 100.0
0 0 5, 35.82, 21.2
1 1 3, 39.03, 27.2
1 1 -4, 41.24, 20.1
1 1 4, 43.96, 47.2
2 0 -1, 44.03, 31.1
0 2 0, 44.82, 26.8
1 1 -5, 46.54, 43.1
0 2 4, 53.97, 25.7

Structural model:
```
data_Ag3Te3N2
_chemical_formula_sum 'Ag3 Te3 N2'
_space_group_name_H-M_alt 'P 1 2/m 1'
_space_group_IT_number 10
_cell_length_a 4.1256
_cell_length_b 4.0441
_cell_length_c 12.5808
_cell_angle_alpha 90.00
_cell_angle_beta 95.00
_cell_angle_gamma 90.00
loop_
_space_group_symop_operation_xyz
'x,y,z'
'-x,-y,-z'
'-x,y,-z'
'x,-y,z'
loop_
_atom_site_label
_atom_site_type_symbol
_atom_site_fract_x
_atom_site_fract_y
_atom_site_fract_z
Ag1 Ag 0.0000 0.0000 0.0000
Ag2 Ag 0.3806 0.5000 0.7627
Te1 Te 0.1111 0.0000 0.2254
Te2 Te 0.5000 0.5000 0.0000
N1 N 0.3778 0.0000 0.5159
```